1.
Theoretical XRD peak list of In2GaF6 for CuKα, from the GGA-PBE geometry in Alexandria.
Lines closer than 0.1° are merged.

Atomic structure:
Cell lengths 9.915, 16.232, 4.484 Å; angles 90.00, 105.73, 90.00 degrees
Space group C2/c (No. 15)
Inequivalent atoms, fractional coordinates:
In1 0.156 0.090 0.293 [8 per cell]
Ga1 0.000 0.303 0.750 [4 per cell]
F1 0.108 0.239 0.050 [8 per cell]
F2 0.113 0.369 0.591 [8 per cell]
F3 0.194 0.053 0.831 [8 per cell]

Top 10 peaks for 2θ = 15–90°, by angle:
- 2θ 21.6, rel. 32.4
- 2θ 23.3, rel. 100.0
- 2θ 26.1, rel. 51.6
- 2θ 28.6, rel. 53.7
- 2θ 29.1, rel. 26.6
- 2θ 30.6, rel. 25.6
- 2θ 33.1, rel. 18.5
- 2θ 44.2, rel. 32.7
- 2θ 49.4, rel. 19.4
- 2θ 60.0, rel. 19.8

2.
Theoretical XRD peak list of Pa2GaCo9 for CuKα, from the GGA-PBE geometry in Alexandria.
Lines closer than 0.1° are merged.

Atomic structure:
Cell lengths 4.7858, 4.7858, 24.6186 Å; angles 90.00, 90.00, 120.00 degrees
Space group R-3m (No. 166, hexagonal axes)
Inequivalent atoms, fractional coordinates:
Pa1 0.0000 0.0000 0.1337 [6 per cell]
Ga1 0.0000 0.0000 0.0000 [3 per cell]
Co1 0.0000 0.0000 0.3332 [6 per cell]
Co2 0.0000 0.0000 0.5000 [3 per cell]
Co3 0.0000 0.5000 0.0817 [18 per cell]

Top 10 peaks for 2θ = 15–90°, by angle:
- 2θ 25.9, rel. 42.6
- 2θ 33.4, rel. 54.3
- 2θ 36.4, rel. 58.2
- 2θ 37.6, rel. 60.1
- 2θ 43.8, rel. 100.0
- 2θ 46.1, rel. 34.7
- 2θ 46.2, rel. 28.4
- 2θ 47.6, rel. 29.7
- 2θ 67.0, rel. 19.7
- 2θ 80.2, rel. 21.1

Q: Number 2 is which compound?
A: Pa2GaCo9

Q: What is the formula in the first record?
A: In2GaF6